1.
Structure and simulated XRD peak list of CdGa4H2 (a DFT-relaxed cell (GGA-PBE, Alexandria); Cu Kα, 1.54184 Å).
Intensities are scaled so that the largest is 100.

Principal peaks in the range 2θ from 5° to 70°, in order of rising 2θ:
10.33°, rel. 32, (0 0 1)
22.05°, rel. 14, (1 0 -1)
25.86°, rel. 13, (1 0 1)
33.10°, rel. 65, (1 0 2)
34.50°, rel. 24, (1 0 -3)
35.56°, rel. 26, (0 1 2)
36.37°, rel. 100, (1 1 -1)
42.90°, rel. 54, (0 1 3)
43.60°, rel. 21, (1 0 -4)
44.98°, rel. 23, (2 0 -2)
56.40°, rel. 28, (2 1 1)
69.44°, rel. 20, (1 2 2)

```
data_CdGa4H2
_cell_length_a 4.192
_cell_length_b 3.126
_cell_length_c 8.739
_cell_angle_alpha 90.00
_cell_angle_beta 101.52
_cell_angle_gamma 90.00
_symmetry_space_group_name_H-M 'P 1'
_symmetry_Int_Tables_number 1
loop_
_symmetry_equiv_pos_as_xyz
'x,y,z'
loop_
_atom_site_label
_atom_site_type_symbol
_atom_site_fract_x
_atom_site_fract_y
_atom_site_fract_z
Cd1 Cd 0.000 0.000 0.000
Ga1 Ga 0.315 0.000 0.361
Ga2 Ga 0.340 0.500 0.810
Ga3 Ga 0.660 0.500 0.190
Ga4 Ga 0.685 0.000 0.639
H1 H 0.061 0.500 0.359
H2 H 0.939 0.500 0.641
```


2.
Structure and simulated XRD peak list of Cd2Ga2H (a DFT-relaxed cell (GGA-PBE, Alexandria); Cu Kα, 1.54184 Å).
Intensities are scaled so that the largest is 100.

Principal peaks in the range 2θ from 5° to 70°, in order of rising 2θ:
16.14°, rel. 10, (0 0 1)
21.88°, rel. 8, (1 1 0)
31.14°, rel. 35, (2 0 0)
32.61°, rel. 41, (0 0 2)
35.27°, rel. 6, (2 0 1)
38.70°, rel. 100, (2 1 1)
45.71°, rel. 24, (2 0 2)
50.23°, rel. 8, (3 1 0)
61.18°, rel. 9, (3 1 2)
62.28°, rel. 23, (2 1 3)
69.42°, rel. 7, (3 3 0)
69.63°, rel. 25, (4 1 1)

```
data_Cd2Ga2H
_cell_length_a 5.744
_cell_length_b 5.744
_cell_length_c 5.492
_cell_angle_alpha 90.00
_cell_angle_beta 90.00
_cell_angle_gamma 90.00
_symmetry_space_group_name_H-M 'P 1'
_symmetry_Int_Tables_number 1
loop_
_symmetry_equiv_pos_as_xyz
'x,y,z'
loop_
_atom_site_label
_atom_site_type_symbol
_atom_site_fract_x
_atom_site_fract_y
_atom_site_fract_z
Cd1 Cd 0.184 0.316 0.000
Cd2 Cd 0.316 0.816 0.000
Cd3 Cd 0.684 0.184 0.000
Cd4 Cd 0.816 0.684 0.000
Ga1 Ga 0.170 0.670 0.500
Ga2 Ga 0.330 0.170 0.500
Ga3 Ga 0.670 0.830 0.500
Ga4 Ga 0.830 0.330 0.500
H1 H 0.000 0.000 0.500
H2 H 0.500 0.500 0.500
```